Entry 1:
Simulated PXRD pattern of LiFe2Ag for Cu Kα, from a structure optimized by DFT (PBE).

Crystal structure
Lattice parameters (Å, degrees): 5.1969 5.1969 4.0914 113.07 113.07 32.00
Fractional coordinates of all 4 atoms:
Li 0.0000 0.0000 0.0000
Fe 0.2536 0.2536 0.7536
Fe 0.7464 0.7464 0.2464
Ag 0.5000 0.5000 0.5000

The 10 most intense peaks (10 to 90 degrees two-theta), by intensity:
Position (°2θ)  I (rel.)
43.36  100
23.84  46
39.51  30
32.76  22
44.28  22
36.82  18
74.33  17
80.85  13
56.16  9
60.75  8

***

Entry 2:
Simulated PXRD pattern of Li2Fe2Ag for Cu Kα, from a structure optimized by DFT (PBE).

Crystal structure
Lattice parameters (Å, degrees): 7.2662 7.2662 2.6560 90.00 90.00 90.00
Fractional coordinates of all 10 atoms:
Li 0.1812 0.3188 0.0000
Li 0.3188 0.8188 0.0000
Li 0.6812 0.1812 0.0000
Li 0.8188 0.6812 0.0000
Fe 0.1116 0.6116 0.5000
Fe 0.3884 0.1116 0.5000
Fe 0.6116 0.8884 0.5000
Fe 0.8884 0.3884 0.5000
Ag 0.0000 0.0000 0.0000
Ag 0.5000 0.5000 0.0000

The 10 most intense peaks (10 to 90 degrees two-theta), by intensity:
Position (°2θ)  I (rel.)
38.14  100
24.50  79
39.21  76
27.45  36
61.88  34
34.93  29
44.03  27
65.50  21
44.98  20
49.35  18

***

Entry 3:
Simulated PXRD pattern of LuFe4Ag for Cu Kα, from a structure optimized by DFT (PBE).

Crystal structure
Lattice parameters (Å, degrees): 5.0008 5.0008 5.0008 60.00 60.00 60.00
Fractional coordinates of all 6 atoms:
Lu 0.0000 0.0000 0.0000
Fe 0.3744 0.3744 0.3744
Fe 0.3744 0.3744 0.8767
Fe 0.3744 0.8767 0.3744
Fe 0.8767 0.3744 0.3744
Ag 0.7500 0.7500 0.7500

The 10 most intense peaks (10 to 90 degrees two-theta), by intensity:
Position (°2θ)  I (rel.)
42.39  100
35.92  63
69.00  30
64.55  22
76.14  21
44.37  16
21.77  15
87.17  10
56.74  4
80.31  3

***

Entry 4:
Simulated PXRD pattern of MgFe4Ag for Cu Kα, from a structure optimized by DFT (PBE).

Crystal structure
Lattice parameters (Å, degrees): 4.9127 4.9127 4.9127 60.00 60.00 60.00
Fractional coordinates of all 6 atoms:
Mg 0.0000 0.0000 0.0000
Fe 0.3742 0.3742 0.3742
Fe 0.3742 0.3742 0.8775
Fe 0.3742 0.8775 0.3742
Fe 0.8775 0.3742 0.3742
Ag 0.7500 0.7500 0.7500

The 10 most intense peaks (10 to 90 degrees two-theta), by intensity:
Position (°2θ)  I (rel.)
43.19  100
45.21  36
36.58  31
70.42  28
77.76  22
25.64  16
22.16  16
65.86  10
59.50  5
89.14  5